Entry 1:
For LiAc2Ga3, a cell relaxed with PBE gives the computed X-ray powder pattern in this record (λ = 1.5418 Å (Cu Kα)).
Kinematic intensities with the Lorentz-polarization factor, no thermal factor.

Main lines, sorted by position (2θ from 5° to 70°):
two_theta  d (Å)  intensity
22.11  4.020  38
30.57  2.924  100
38.69  2.327  13
38.86  2.318  26
42.42  2.131  10
48.34  1.883  10
50.13  1.820  17
50.31  1.814  8
58.87  1.569  15
65.33  1.428  8

Cell and atoms:
```
LiAc2Ga3
1.0
0.000 4.654 8.017
4.262 0.000 8.017
4.262 4.654 0.000
Li Ac Ga
2 4 6
Direct
0.169 0.169 0.831
0.831 0.831 0.169
0.242 0.758 0.758
0.250 0.250 0.250
0.750 0.750 0.750
0.758 0.242 0.242
0.174 0.660 0.340
0.336 0.336 0.664
0.340 0.826 0.174
0.660 0.174 0.826
0.664 0.664 0.336
0.826 0.340 0.660
```

Entry 2:
For LiDy3Pb2O, a cell relaxed with PBE gives the computed X-ray powder pattern in this record (λ = 1.5418 Å (Cu Kα)).
Kinematic intensities with the Lorentz-polarization factor, no thermal factor.

Main lines, sorted by position (2θ from 5° to 70°):
two_theta  d (Å)  intensity
20.05  4.429  18
22.02  4.037  25
27.96  3.191  60
30.11  2.968  41
33.29  2.691  31
35.87  2.504  100
39.12  2.303  31
40.77  2.213  27
57.78  1.596  20
64.70  1.441  22

Cell and atoms:
```
LiDy3Pb2O
1.0
-2.213 2.303 8.074
2.213 -2.303 8.074
2.213 2.303 -8.074
Li Dy Pb O
1 3 2 1
Direct
0.000 0.000 0.000
0.159 0.659 0.500
0.500 0.500 0.000
0.841 0.341 0.500
0.357 0.857 0.500
0.643 0.143 0.500
0.000 0.500 0.500
```